1.
Structure and calculated powder diffractogram of Mg2Be2TeO6 (a DFT-relaxed cell (PBE, Alexandria); Cu Kα).
Intensities are scaled so that the largest is 100.

Atomic structure:
```
data_Mg2Be2TeO6
_symmetry_space_group_name_H-M 'P -3'
_symmetry_Int_Tables_number 147
_cell_length_a 5.1374
_cell_length_b 5.1374
_cell_length_c 5.3495
_cell_angle_alpha 90.00
_cell_angle_beta 90.00
_cell_angle_gamma 120.00
loop_
_symmetry_equiv_pos_as_xyz
'x,y,z'
'-x,-y,-z'
'-y,x-y,z'
'y,-x+y,-z'
'-x+y,-x,z'
'x-y,x,-z'
loop_
_atom_site_label
_atom_site_fract_x
_atom_site_fract_y
_atom_site_fract_z
Mg1 0.3333 0.6667 0.3908
Be1 0.3333 0.6667 0.8341
Te1 0.0000 0.0000 0.0000
O1 0.0386 0.6654 0.7625
```

Main lines, in order of falling intensity (10° ≤ 2θ ≤ 80°):
two_theta	I/Imax
26.0	100.0
39.3	33.4
20.0	32.2
44.1	26.2
49.2	25.4
16.6	24.6
38.9	24.0
34.9	23.4
57.4	23.2
62.6	13.3

2.
Structure and calculated powder diffractogram of MgTiBe2O (a DFT-relaxed cell (PBE, Alexandria); Cu Kα).
Intensities are scaled so that the largest is 100.

Atomic structure:
```
data_MgTiBe2O
_symmetry_space_group_name_H-M 'P 4/m m m'
_symmetry_Int_Tables_number 123
_symmetry_space_group_name_Hall '-P 4 2'
_cell_length_a 4.5829
_cell_length_b 4.5829
_cell_length_c 3.5615
_cell_angle_alpha 90.00
_cell_angle_beta 90.00
_cell_angle_gamma 90.00
loop_
_atom_site_label
_atom_site_fract_x
_atom_site_fract_y
_atom_site_fract_z
Mg1 0.0000 0.0000 0.0000
Ti1 0.5000 0.5000 0.5000
Be1 0.0000 0.5000 0.0000
O1 0.0000 0.0000 0.5000
```

Main lines, in order of falling intensity (10° ≤ 2θ ≤ 80°):
two_theta	I/Imax
27.5	100.0
31.8	70.8
39.3	62.6
51.4	35.7
37.5	35.0
66.5	22.3
56.8	18.8
59.2	18.8
64.3	14.1
51.3	13.2

3.
Structure and calculated powder diffractogram of MgUBeO5 (a DFT-relaxed cell (PBE, Alexandria); Cu Kα).
Intensities are scaled so that the largest is 100.

Atomic structure:
```
data_MgUBeO5
_symmetry_space_group_name_H-M 'C 1 2/c 1'
_symmetry_Int_Tables_number 15
_cell_length_a 6.4670
_cell_length_b 8.5224
_cell_length_c 7.7079
_cell_angle_alpha 90.00
_cell_angle_beta 113.96
_cell_angle_gamma 90.00
loop_
_symmetry_equiv_pos_as_xyz
'x,y,z'
'-x,-y,-z'
'-x,y,-z+1/2'
'x,-y,z+1/2'
'x+1/2,y+1/2,z'
'-x+1/2,-y+1/2,-z'
'-x+1/2,y+1/2,-z+1/2'
'x+1/2,-y+1/2,z+1/2'
loop_
_atom_site_label
_atom_site_fract_x
_atom_site_fract_y
_atom_site_fract_z
Mg1 0.0000 0.1417 0.2500
U1 0.0000 0.5000 0.0000
Be1 0.0000 0.1865 0.7500
O1 0.0000 0.3810 0.2500
O2 0.1352 0.3044 0.6601
O3 0.1639 0.0603 0.9102
```

Main lines, in order of falling intensity (10° ≤ 2θ ≤ 80°):
two_theta	I/Imax
18.3	100.0
25.8	66.0
20.8	38.7
33.0	36.0
35.0	22.3
30.2	22.3
47.4	21.4
37.0	17.8
43.9	16.5
25.3	16.2